This entry pairs a crystal structure of Ba2YBi3O8 with its computed powder X-ray diffraction pattern. Radiation: a wavelength of 1.5418 Å. Structure: a cell relaxed with GGA-PBE.
Intensities are scaled so that the largest is 100.

Cell and atoms:
```
14
Lattice="4.4015 0.0000 0.0000 0.0000 4.4015 0.0000 0.0000 0.0000 13.6177" Properties=species:S:1:pos:R:3 pbc="T T T"
Ba 0.0000 0.0000 1.9721
Ba 0.0000 0.0000 11.6456
Y 0.0000 0.0000 6.8089
Bi 2.2008 2.2008 0.0000
Bi 2.2008 2.2008 4.7107
Bi 2.2008 2.2008 8.9070
O 0.0000 2.2008 0.0000
O 0.0000 2.2008 5.4594
O 0.0000 2.2008 8.1583
O 2.2008 0.0000 0.0000
O 2.2008 0.0000 5.4594
O 2.2008 0.0000 8.1583
O 2.2008 2.2008 2.4460
O 2.2008 2.2008 11.1717
```

The 10 most intense peaks (15 to 90 degrees two-theta), by angle:
2θ 20.17, intensity 12, (1 0 0); 2θ 28.24, intensity 100, (1 0 3); 2θ 28.68, intensity 48, (1 1 0); 2θ 41.01, intensity 27, (2 0 0); 2θ 49.72, intensity 21, (1 1 6); 2θ 50.54, intensity 41, (2 1 3); 2θ 58.41, intensity 12, (2 0 6); 2θ 67.27, intensity 9, (3 1 0); 2θ 81.04, intensity 10, (3 1 6); 2θ 81.68, intensity 11, (3 2 3)